For Tl2S2Cl, DFT lattice parameters and positions (GGA-PBE) gives the computed X-ray diffraction stick pattern in this record (Cu Kα).
Intensities are scaled so that the largest is 100.

Structural model:
a b c (Å): 6.610 6.610 11.714
angles (deg): 90.00 90.00 141.12
Fractional positions:
Tl 0.022 0.978 0.500
Tl 0.208 0.792 0.247
Tl 0.792 0.208 0.747
Tl 0.978 0.022 0.000
S 0.201 0.799 0.898
S 0.313 0.687 0.021
S 0.687 0.313 0.521
S 0.799 0.201 0.398
Cl 0.471 0.529 0.684
Cl 0.529 0.471 0.184

The 6 most intense peaks (5 to 70 degrees two-theta), by angle:
| d_spacing | 2theta | I/Imax |
| --- | --- | --- |
| 4.269 | 20.81 | 100 |
| 4.149 | 21.42 | 43 |
| 3.911 | 22.74 | 51 |
| 2.927 | 30.54 | 62 |
| 2.685 | 33.37 | 89 |
| 2.392 | 37.61 | 39 |